Record 1
Diffraction record for Sr2FeCO3F5. The powder diffraction line list is computed, not measured: it uses a cell relaxed with GGA+U and Cu Kα, 1.54184 Å.
Peak positions follow from Bragg's law for the DFT cell and can differ from measured ones.

Crystal structure
Lattice parameters (Å, degrees): 5.6122 8.9477 13.9314 90.00 105.36 90.00
Space group P2_1/c (No. 14)
Symmetry-distinct sites (fractional):
Sr  0.1911  0.1093  0.4030 [4 per cell]
Sr  0.1923  0.6403  0.4141 [4 per cell]
Fe  0.3101  0.6282  0.6722 [4 per cell]
C  0.3182  0.1240  0.6353 [4 per cell]
O  0.0880  0.1199  0.5839 [4 per cell]
O  0.3651  0.1298  0.7320 [4 per cell]
O  0.4924  0.1223  0.5902 [4 per cell]
F  0.0253  0.1299  0.9333 [4 per cell]
F  0.1647  0.7169  0.2362 [4 per cell]
F  0.1681  0.0373  0.2277 [4 per cell]
F  0.3940  0.7174  0.0843 [4 per cell]
F  0.4186  0.0128  0.0846 [4 per cell]

Principal peaks in the range 2θ from 15° to 90°, in order of falling intensity:
| two_theta | d/Å | I_rel |
| --- | --- | --- |
| 25.6 | 3.484 | 100 |
| 40.3 | 2.238 | 31 |
| 45.6 | 1.991 | 26 |
| 27.3 | 3.268 | 23 |
| 28.2 | 3.165 | 23 |
| 26.5 | 3.358 | 16 |
| 27.8 | 3.212 | 15 |
| 49.4 | 1.846 | 15 |
| 53.5 | 1.712 | 15 |
| 39.1 | 2.306 | 14 |

---

Record 2
Diffraction record for VH14C4NO2F3. The powder diffraction line list is computed, not measured: it uses a cell relaxed with GGA+U and Cu Kα, 1.54184 Å.
Peak positions follow from Bragg's law for the DFT cell and can differ from measured ones.

Crystal structure
Lattice parameters (Å, degrees): 7.0187 8.2104 9.2348 65.99 83.49 72.54
Space group P-1 (No. 2)
Symmetry-distinct sites (fractional):
V  0.1834  0.4912  0.3679 [2 per cell]
H  0.0625  0.1720  0.0532 [2 per cell]
H  0.0671  0.9643  0.2278 [2 per cell]
H  0.1132  0.1616  0.2437 [2 per cell]
H  0.1496  0.5619  0.7965 [2 per cell]
H  0.1621  0.8350  0.5637 [2 per cell]
H  0.1965  0.0355  0.5824 [2 per cell]
H  0.2113  0.5438  0.9878 [2 per cell]
H  0.2351  0.3106  0.6663 [2 per cell]
H  0.2557  0.0120  0.8516 [2 per cell]
H  0.2743  0.7949  0.0177 [2 per cell]
H  0.3998  0.5469  0.8379 [2 per cell]
H  0.4029  0.8304  0.6164 [2 per cell]
H  0.4579  0.3358  0.6146 [2 per cell]
H  0.4640  0.8125  0.8672 [2 per cell]
C  0.0307  0.1161  0.1803 [2 per cell]
C  0.2411  0.5987  0.8603 [2 per cell]
C  0.2412  0.8836  0.6267 [2 per cell]
C  0.3051  0.8607  0.8913 [2 per cell]
N  0.1890  0.8069  0.7994 [2 per cell]
O  0.2878  0.3678  0.2617 [2 per cell]
O  0.3378  0.3160  0.5815 [2 per cell]
F  0.0267  0.6327  0.5252 [2 per cell]
F  0.0276  0.3127  0.7775 [2 per cell]
F  0.3485  0.6580  0.3189 [2 per cell]

Principal peaks in the range 2θ from 15° to 90°, in order of falling intensity:
| two_theta | d/Å | I_rel |
| --- | --- | --- |
| 15.7 | 5.639 | 100 |
| 22.7 | 3.924 | 64 |
| 19.1 | 4.648 | 44 |
| 20.6 | 4.305 | 23 |
| 22.0 | 4.049 | 23 |
| 24.8 | 3.585 | 23 |
| 25.6 | 3.475 | 19 |
| 33.0 | 2.711 | 18 |
| 25.3 | 3.523 | 18 |
| 31.8 | 2.815 | 17 |